# Ce6AgIr3
Calculated powder diffractogram, Cu Kα X-rays. Input: a DFT-relaxed cell (PBE, Alexandria).
Neutral-atom scattering factors, no anomalous dispersion.

Principal peaks in the range 10 to 90 degrees two-theta, most intense first:
2θ = 36.39°, 2.469 Å, I = 100
2θ = 33.26°, 2.694 Å, I = 97
2θ = 33.82°, 2.651 Å, I = 90
2θ = 24.40°, 3.649 Å, I = 90
2θ = 33.09°, 2.707 Å, I = 59
2θ = 40.70°, 2.217 Å, I = 55
2θ = 16.45°, 5.390 Å, I = 52
2θ = 50.05°, 1.822 Å, I = 33
2θ = 28.64°, 3.116 Å, I = 32
2θ = 47.26°, 1.923 Å, I = 29

Atomic structure:
abc: 8.869 8.869 6.913
angles: 90.00 90.00 103.88
Atoms (fractional coordinates):
1 Ce 0.003 0.997 0.500
2 Ce 0.098 0.507 0.498
3 Ce 0.233 0.767 0.757
4 Ce 0.277 0.395 0.943
5 Ce 0.395 0.277 0.443
6 Ce 0.493 0.902 0.498
7 Ce 0.507 0.098 0.998
8 Ce 0.605 0.723 0.943
9 Ce 0.723 0.605 0.443
10 Ce 0.767 0.233 0.257
11 Ce 0.902 0.493 0.998
12 Ce 0.997 0.003 0.000
13 Ag 0.204 0.796 0.218
14 Ag 0.796 0.204 0.718
15 Ir 0.092 0.265 0.245
16 Ir 0.265 0.092 0.745
17 Ir 0.428 0.572 0.628
18 Ir 0.572 0.428 0.128
19 Ir 0.735 0.908 0.245
20 Ir 0.908 0.735 0.745


# Pa3Ga2Pd7
Calculated powder diffractogram, Cu Kα X-rays. Input: a DFT-relaxed cell (PBE, Alexandria).
Neutral-atom scattering factors, no anomalous dispersion.

Principal peaks in the range 10 to 90 degrees two-theta, most intense first:
2θ = 35.30°, 2.542 Å, I = 100
2θ = 38.78°, 2.322 Å, I = 28
2θ = 43.94°, 2.061 Å, I = 27
2θ = 45.81°, 1.981 Å, I = 24
2θ = 34.26°, 2.617 Å, I = 22
2θ = 65.35°, 1.428 Å, I = 17
2θ = 36.26°, 2.477 Å, I = 16
2θ = 32.80°, 2.730 Å, I = 15
2θ = 43.07°, 2.100 Å, I = 12
2θ = 75.15°, 1.264 Å, I = 12

Atomic structure:
abc: 4.121 3.961 14.098
angles: 90.00 98.37 90.00
Atoms (fractional coordinates):
1 Pa 0.000 0.000 0.000
2 Pa 0.319 0.500 0.636
3 Pa 0.681 0.500 0.364
4 Ga 0.130 0.000 0.263
5 Ga 0.870 0.000 0.737
6 Pd 0.073 0.500 0.149
7 Pd 0.219 0.000 0.439
8 Pd 0.425 0.000 0.848
9 Pd 0.500 0.500 0.000
10 Pd 0.575 0.000 0.152
11 Pd 0.781 0.000 0.561
12 Pd 0.927 0.500 0.851


# Zr6GaBi3
Calculated powder diffractogram, Cu Kα X-rays. Input: a DFT-relaxed cell (PBE, Alexandria).
Neutral-atom scattering factors, no anomalous dispersion.

Principal peaks in the range 10 to 90 degrees two-theta, most intense first:
2θ = 34.61°, 2.592 Å, I = 100
2θ = 24.77°, 3.594 Å, I = 60
2θ = 33.31°, 2.689 Å, I = 24
2θ = 16.48°, 5.379 Å, I = 21
2θ = 37.48°, 2.400 Å, I = 21
2θ = 39.95°, 2.257 Å, I = 21
2θ = 30.84°, 2.899 Å, I = 21
2θ = 35.72°, 2.514 Å, I = 20
2θ = 40.52°, 2.226 Å, I = 18
2θ = 24.07°, 3.697 Å, I = 18

Atomic structure:
abc: 8.845 8.845 7.023
angles: 90.00 90.00 108.95
Atoms (fractional coordinates):
1 Zr 0.024 0.976 0.500
2 Zr 0.083 0.589 0.532
3 Zr 0.255 0.745 0.125
4 Zr 0.257 0.394 0.094
5 Zr 0.394 0.257 0.594
6 Zr 0.411 0.917 0.532
7 Zr 0.589 0.083 0.032
8 Zr 0.606 0.743 0.094
9 Zr 0.743 0.606 0.594
10 Zr 0.745 0.255 0.625
11 Zr 0.917 0.411 0.032
12 Zr 0.976 0.024 0.000
13 Ga 0.151 0.849 0.784
14 Ga 0.849 0.151 0.284
15 Bi 0.091 0.291 0.724
16 Bi 0.291 0.091 0.224
17 Bi 0.417 0.583 0.436
18 Bi 0.583 0.417 0.936
19 Bi 0.709 0.909 0.724
20 Bi 0.909 0.709 0.224


# Sm4GaS2
Calculated powder diffractogram, Cu Kα X-rays. Input: a DFT-relaxed cell (PBE, Alexandria).
Neutral-atom scattering factors, no anomalous dispersion.

Principal peaks in the range 10 to 90 degrees two-theta, most intense first:
2θ = 29.26°, 3.052 Å, I = 100
2θ = 30.87°, 2.896 Å, I = 91
2θ = 45.52°, 1.993 Å, I = 64
2θ = 30.46°, 2.934 Å, I = 47
2θ = 32.92°, 2.721 Å, I = 40
2θ = 55.00°, 1.670 Å, I = 34
2θ = 26.70°, 3.339 Å, I = 31
2θ = 40.42°, 2.232 Å, I = 28
2θ = 48.99°, 1.859 Å, I = 19
2θ = 78.93°, 1.213 Å, I = 19

Atomic structure:
abc: 6.932 6.932 13.749
angles: 90.00 90.00 146.56
Atoms (fractional coordinates):
1 Sm 0.000 0.000 0.000
2 Sm 0.000 0.000 0.500
3 Sm 0.272 0.728 0.620
4 Sm 0.272 0.728 0.880
5 Sm 0.439 0.561 0.250
6 Sm 0.561 0.439 0.750
7 Sm 0.728 0.272 0.120
8 Sm 0.728 0.272 0.380
9 Ga 0.107 0.893 0.250
10 Ga 0.893 0.107 0.750
11 S 0.364 0.636 0.061
12 S 0.364 0.636 0.439
13 S 0.636 0.364 0.561
14 S 0.636 0.364 0.939


# BaGa4Ru
Calculated powder diffractogram, Cu Kα X-rays. Input: a DFT-relaxed cell (PBE, Alexandria).
Neutral-atom scattering factors, no anomalous dispersion.

Principal peaks in the range 10 to 90 degrees two-theta, most intense first:
2θ = 37.28°, 2.412 Å, I = 100
2θ = 29.01°, 3.078 Å, I = 87
2θ = 42.34°, 2.135 Å, I = 72
2θ = 22.24°, 3.998 Å, I = 71
2θ = 57.67°, 1.599 Å, I = 57
2θ = 26.12°, 3.411 Å, I = 51
2θ = 24.94°, 3.570 Å, I = 49
2θ = 45.37°, 1.999 Å, I = 39
2θ = 53.74°, 1.706 Å, I = 34
2θ = 18.39°, 4.824 Å, I = 31

Atomic structure:
abc: 4.824 4.824 7.141
angles: 90.00 90.00 90.00
Atoms (fractional coordinates):
1 Ba 0.000 0.000 0.000
2 Ga 0.000 0.500 0.500
3 Ga 0.500 0.000 0.500
4 Ga 0.500 0.500 0.166
5 Ga 0.500 0.500 0.834
6 Ru 0.500 0.500 0.500


# Li4CoH6
Calculated powder diffractogram, Cu Kα X-rays. Input: a DFT-relaxed cell (PBE, Alexandria).
Neutral-atom scattering factors, no anomalous dispersion.

Principal peaks in the range 10 to 90 degrees two-theta, most intense first:
2θ = 22.22°, 4.002 Å, I = 100
2θ = 22.43°, 3.964 Å, I = 46
2θ = 39.25°, 2.296 Å, I = 37
2θ = 38.85°, 2.318 Å, I = 20
2θ = 45.33°, 2.001 Å, I = 20
2θ = 51.56°, 1.773 Å, I = 11
2θ = 31.93°, 2.803 Å, I = 11
2θ = 50.61°, 1.804 Å, I = 10
2θ = 61.10°, 1.517 Å, I = 10
2θ = 61.85°, 1.500 Å, I = 10

Atomic structure:
abc: 5.605 5.605 5.714
angles: 90.00 90.00 90.00
Atoms (fractional coordinates):
1 Li 0.195 0.305 0.250
2 Li 0.195 0.305 0.750
3 Li 0.305 0.805 0.250
4 Li 0.305 0.805 0.750
5 Li 0.695 0.195 0.250
6 Li 0.695 0.195 0.750
7 Li 0.805 0.695 0.250
8 Li 0.805 0.695 0.750
9 Co 0.000 0.000 0.000
10 Co 0.500 0.500 0.500
11 H 0.000 0.000 0.278
12 H 0.000 0.000 0.722
13 H 0.061 0.720 0.000
14 H 0.220 0.561 0.500
15 H 0.280 0.061 0.000
16 H 0.439 0.220 0.500
17 H 0.500 0.500 0.222
18 H 0.500 0.500 0.778
19 H 0.561 0.780 0.500
20 H 0.720 0.939 0.000
21 H 0.780 0.439 0.500
22 H 0.939 0.280 0.000


# Cs2SmSnCl6
Calculated powder diffractogram, Cu Kα X-rays. Input: a DFT-relaxed cell (PBE, Alexandria).
Neutral-atom scattering factors, no anomalous dispersion.

Principal peaks in the range 10 to 90 degrees two-theta, most intense first:
2θ = 21.19°, 4.193 Å, I = 100
2θ = 28.07°, 3.179 Å, I = 34
2θ = 32.09°, 2.789 Å, I = 26
2θ = 23.11°, 3.848 Å, I = 25
2θ = 32.88°, 2.724 Å, I = 24
2θ = 39.49°, 2.282 Å, I = 22
2θ = 35.94°, 2.499 Å, I = 20
2θ = 43.15°, 2.097 Å, I = 19
2θ = 21.95°, 4.049 Å, I = 19
2θ = 17.36°, 5.108 Å, I = 17

Atomic structure:
abc: 7.695 12.716 8.099
angles: 90.00 90.00 90.00
Atoms (fractional coordinates):
1 Cs 0.250 0.015 0.239
2 Cs 0.250 0.485 0.239
3 Cs 0.750 0.515 0.761
4 Cs 0.750 0.985 0.761
5 Sm 0.250 0.750 0.827
6 Sm 0.750 0.250 0.173
7 Sn 0.250 0.250 0.675
8 Sn 0.750 0.750 0.325
9 Cl 0.007 0.250 0.401
10 Cl 0.011 0.750 0.076
11 Cl 0.250 0.539 0.819
12 Cl 0.250 0.961 0.819
13 Cl 0.489 0.750 0.076
14 Cl 0.493 0.250 0.401
15 Cl 0.507 0.750 0.599
16 Cl 0.511 0.250 0.924
17 Cl 0.750 0.039 0.181
18 Cl 0.750 0.461 0.181
19 Cl 0.989 0.250 0.924
20 Cl 0.993 0.750 0.599


# V3Co2
Calculated powder diffractogram, Cu Kα X-rays. Input: a DFT-relaxed cell (PBE, Alexandria).
Neutral-atom scattering factors, no anomalous dispersion.

Principal peaks in the range 10 to 90 degrees two-theta, most intense first:
2θ = 43.38°, 2.086 Å, I = 100
2θ = 45.54°, 1.992 Å, I = 78
2θ = 41.51°, 2.175 Å, I = 44
2θ = 41.12°, 2.195 Å, I = 40
2θ = 44.59°, 2.032 Å, I = 33
2θ = 49.59°, 1.838 Å, I = 32
2θ = 44.45°, 2.038 Å, I = 28
2θ = 79.58°, 1.205 Å, I = 27
2θ = 38.26°, 2.352 Å, I = 26
2θ = 49.82°, 1.830 Å, I = 22

Atomic structure:
abc: 10.091 2.786 8.911
angles: 90.00 90.00 90.00
Atoms (fractional coordinates):
1 V 0.049 0.250 0.109
2 V 0.068 0.750 0.591
3 V 0.160 0.250 0.805
4 V 0.340 0.750 0.305
5 V 0.432 0.250 0.091
6 V 0.451 0.750 0.609
7 V 0.549 0.250 0.391
8 V 0.568 0.750 0.909
9 V 0.660 0.250 0.695
10 V 0.840 0.750 0.195
11 V 0.932 0.250 0.409
12 V 0.951 0.750 0.891
13 Co 0.115 0.750 0.309
14 Co 0.229 0.750 0.018
15 Co 0.271 0.250 0.518
16 Co 0.385 0.250 0.809
17 Co 0.615 0.750 0.191
18 Co 0.729 0.750 0.482
19 Co 0.771 0.250 0.982
20 Co 0.885 0.250 0.691


Repeat the fifth record exactly.
# BaGa4Ru
Calculated powder diffractogram, Cu Kα X-rays. Input: a DFT-relaxed cell (PBE, Alexandria).
Neutral-atom scattering factors, no anomalous dispersion.

Principal peaks in the range 10 to 90 degrees two-theta, most intense first:
2θ = 37.28°, 2.412 Å, I = 100
2θ = 29.01°, 3.078 Å, I = 87
2θ = 42.34°, 2.135 Å, I = 72
2θ = 22.24°, 3.998 Å, I = 71
2θ = 57.67°, 1.599 Å, I = 57
2θ = 26.12°, 3.411 Å, I = 51
2θ = 24.94°, 3.570 Å, I = 49
2θ = 45.37°, 1.999 Å, I = 39
2θ = 53.74°, 1.706 Å, I = 34
2θ = 18.39°, 4.824 Å, I = 31

Atomic structure:
abc: 4.824 4.824 7.141
angles: 90.00 90.00 90.00
Atoms (fractional coordinates):
1 Ba 0.000 0.000 0.000
2 Ga 0.000 0.500 0.500
3 Ga 0.500 0.000 0.500
4 Ga 0.500 0.500 0.166
5 Ga 0.500 0.500 0.834
6 Ru 0.500 0.500 0.500


Please write out number 4 again, unchanged.
# Sm4GaS2
Calculated powder diffractogram, Cu Kα X-rays. Input: a DFT-relaxed cell (PBE, Alexandria).
Neutral-atom scattering factors, no anomalous dispersion.

Principal peaks in the range 10 to 90 degrees two-theta, most intense first:
2θ = 29.26°, 3.052 Å, I = 100
2θ = 30.87°, 2.896 Å, I = 91
2θ = 45.52°, 1.993 Å, I = 64
2θ = 30.46°, 2.934 Å, I = 47
2θ = 32.92°, 2.721 Å, I = 40
2θ = 55.00°, 1.670 Å, I = 34
2θ = 26.70°, 3.339 Å, I = 31
2θ = 40.42°, 2.232 Å, I = 28
2θ = 48.99°, 1.859 Å, I = 19
2θ = 78.93°, 1.213 Å, I = 19

Atomic structure:
abc: 6.932 6.932 13.749
angles: 90.00 90.00 146.56
Atoms (fractional coordinates):
1 Sm 0.000 0.000 0.000
2 Sm 0.000 0.000 0.500
3 Sm 0.272 0.728 0.620
4 Sm 0.272 0.728 0.880
5 Sm 0.439 0.561 0.250
6 Sm 0.561 0.439 0.750
7 Sm 0.728 0.272 0.120
8 Sm 0.728 0.272 0.380
9 Ga 0.107 0.893 0.250
10 Ga 0.893 0.107 0.750
11 S 0.364 0.636 0.061
12 S 0.364 0.636 0.439
13 S 0.636 0.364 0.561
14 S 0.636 0.364 0.939